Diffraction record for Th2ZnTc. The X-ray diffraction stick pattern is simulated, not measured: it uses a cell relaxed with GGA-PBE and Cu Kα (λ = 1.5418 Å).

Structure:
```
Th2ZnTc
1.0
0.000 3.620 3.620
3.620 0.000 3.620
3.620 3.620 0.000
Th Zn Tc
2 1 1
Direct
0.250 0.250 0.250
0.750 0.750 0.750
0.000 0.000 0.000
0.500 0.500 0.500
```

Top 6 peaks for 2θ = 5–70°, low angle first:
2θ (°)	I/Imax
24.59	23
35.06	100
43.29	7
50.42	18
56.88	11
62.89	37

---

Diffraction record for TiTc. The X-ray diffraction stick pattern is simulated, not measured: it uses a cell relaxed with GGA-PBE and Cu Kα (λ = 1.5418 Å).

Structure:
```
TiTc
1.0
3.107 0.000 0.000
0.000 3.107 0.000
0.000 0.000 3.107
Ti Tc
1 1
Direct
0.000 0.000 0.000
0.500 0.500 0.500
```

Top 5 peaks for 2θ = 5–70°, low angle first:
2θ (°)	I/Imax
28.73	17
41.09	100
50.91	5
59.51	16
67.40	7

---

Diffraction record for TmUTc2. The X-ray diffraction stick pattern is simulated, not measured: it uses a cell relaxed with GGA-PBE and Cu Kα (λ = 1.5418 Å).

Structure:
```
TmUTc2
1.0
0.000 3.381 3.381
3.381 0.000 3.381
3.381 3.381 0.000
Tm U Tc
1 1 2
Direct
0.000 0.000 0.000
0.500 0.500 0.500
0.250 0.250 0.250
0.750 0.750 0.750
```

Top 6 peaks for 2θ = 5–70°, low angle first:
2θ (°)	I/Imax
26.36	13
37.63	100
46.53	4
54.27	17
61.32	6
67.92	36

---

Diffraction record for Tm2ZnTc. The X-ray diffraction stick pattern is simulated, not measured: it uses a cell relaxed with GGA-PBE and Cu Kα (λ = 1.5418 Å).

Structure:
```
Tm2ZnTc
1.0
0.000 3.441 3.441
3.441 0.000 3.441
3.441 3.441 0.000
Tm Zn Tc
2 1 1
Direct
0.250 0.250 0.250
0.750 0.750 0.750
0.000 0.000 0.000
0.500 0.500 0.500
```

Top 6 peaks for 2θ = 5–70°, low angle first:
2θ (°)	I/Imax
25.89	13
36.95	100
45.67	4
53.24	17
60.13	5
66.57	35